The following is a computed powder diffraction line list of NaMoC2NO9. It was derived from a cell relaxed with PBE+U, using λ = 1.5418 Å (Cu Kα).

The 10 most intense peaks (15° ≤ 2θ ≤ 90°), sorted by position:
2θ 17.46, intensity 36
2θ 18.40, intensity 100
2θ 24.69, intensity 85
2θ 26.37, intensity 48
2θ 26.99, intensity 84
2θ 28.27, intensity 33
2θ 28.85, intensity 47
2θ 32.01, intensity 34
2θ 34.14, intensity 57
2θ 36.24, intensity 32

Cell and atoms:
Lattice parameters (Å, degrees): 10.1576 15.3480 6.7610 90.00 90.85 90.00
Element x y z (fractional)
Na  0.1064  0.1096  0.0210
Na  0.1064  0.3904  0.5210
Na  0.8936  0.6096  0.4790
Na  0.8936  0.8904  0.9790
Mo  0.4250  0.2313  0.5581
Mo  0.4250  0.2687  0.0581
Mo  0.5750  0.7313  0.9419
Mo  0.5750  0.7687  0.4419
C  0.1406  0.7042  0.9447
C  0.1406  0.7958  0.4447
C  0.2850  0.5773  0.4918
C  0.2850  0.9227  0.9918
C  0.7150  0.0773  0.0082
C  0.7150  0.4227  0.5082
C  0.8594  0.2042  0.5553
C  0.8594  0.2958  0.0553
N  0.3703  0.0211  0.3002
N  0.3703  0.4789  0.8002
N  0.6297  0.5211  0.1998
N  0.6297  0.9789  0.6998
O  0.0022  0.0364  0.3030
O  0.0022  0.4636  0.8030
O  0.0402  0.0426  0.6903
O  0.0402  0.4574  0.1903
O  0.0476  0.7475  0.9786
O  0.0476  0.7525  0.4786
O  0.1751  0.5581  0.5253
O  0.1751  0.9419  0.0253
O  0.2353  0.6636  0.9110
O  0.2353  0.8364  0.4110
O  0.2860  0.1992  0.0325
O  0.2860  0.3008  0.5325
O  0.3796  0.1229  0.5830
O  0.3796  0.3771  0.0830
O  0.3927  0.5980  0.4548
O  0.3927  0.9020  0.9548
O  0.4853  0.7410  0.1934
O  0.4853  0.7590  0.6934
O  0.5147  0.2410  0.3066
O  0.5147  0.2590  0.8066
O  0.6073  0.0980  0.0452
O  0.6073  0.4020  0.5452
O  0.6204  0.6229  0.9170
O  0.6204  0.8771  0.4170
O  0.7140  0.6992  0.4675
O  0.7140  0.8008  0.9675
O  0.7647  0.1636  0.5890
O  0.7647  0.3364  0.0890
O  0.8249  0.0581  0.9747
O  0.8249  0.4419  0.4747
O  0.9524  0.2475  0.5214
O  0.9524  0.2525  0.0214
O  0.9598  0.5426  0.8097
O  0.9598  0.9574  0.3097
O  0.9978  0.5364  0.1970
O  0.9978  0.9636  0.6970